SmYFe17: computed XRD peak list (Cu Kα X-rays), based on a structure optimized by DFT (GGA-PBE).
Intensities are scaled so that the largest is 100.

Structural model:
```
19
Lattice="4.259 2.459 4.136 -4.259 2.459 4.136 0.000 -4.918 4.136" Properties=species:S:1:pos:R:3 pbc="T T T"
Sm 0.000 0.000 0.000
Y 0.000 0.000 8.483
Fe -1.244 -2.147 4.246
Fe -2.481 -0.004 4.246
Fe -2.119 -1.224 6.448
Fe 0.000 0.000 3.043
Fe 1.244 -2.147 4.246
Fe 0.000 -2.456 6.316
Fe -1.237 2.151 4.246
Fe -2.127 1.228 6.316
Fe 0.000 0.000 5.455
Fe -2.136 -1.233 10.314
Fe 2.481 -0.004 4.246
Fe 1.237 2.151 4.246
Fe 2.119 -1.224 6.448
Fe 0.000 2.447 6.448
Fe 2.127 1.228 6.316
Fe 2.136 -1.233 10.314
Fe 0.000 2.466 10.314
```

Largest 10 diffraction maxima, sorted by position, 2θ from 10° to 90°:
2θ (°)	d [Å]	I_rel
30.12	2.967	29
36.54	2.459	39
37.90	2.374	28
42.45	2.130	64
42.78	2.114	100
43.65	2.074	16
43.78	2.068	34
48.05	1.893	33
77.66	1.230	17
79.75	1.202	17

=====

Ba2CuSO2: computed XRD peak list (Cu Kα X-rays), based on a structure optimized by DFT (GGA-PBE).
Intensities are scaled so that the largest is 100.

Structural model:
```
6
Lattice="3.995 0.000 0.000 0.000 3.995 0.000 0.000 0.000 7.400" Properties=species:S:1:pos:R:3 pbc="T T T"
Ba 0.000 0.000 1.795
Ba 0.000 0.000 5.605
Cu 1.998 1.998 3.700
S 1.998 1.998 0.000
O 0.000 1.998 3.700
O 1.998 0.000 3.700
```

Largest 10 diffraction maxima, sorted by position, 2θ from 10° to 90°:
2θ (°)	d [Å]	I_rel
22.25	3.995	25
31.67	2.825	46
33.00	2.715	100
40.16	2.245	16
45.40	1.998	24
49.25	1.850	9
57.26	1.609	40
59.75	1.548	15
69.22	1.357	13
75.94	1.253	9

=====

KH2F3: computed XRD peak list (Cu Kα X-rays), based on a structure optimized by DFT (GGA-PBE).
Intensities are scaled so that the largest is 100.

Structural model:
```
24
Lattice="-3.510 3.510 9.846 3.510 -3.510 9.846 3.510 3.510 -9.846" Properties=species:S:1:pos:R:3 pbc="T T T"
K 0.000 0.000 0.000
K -1.755 1.755 4.923
K 0.000 3.510 0.000
K 1.755 1.755 4.923
H 2.668 0.736 -0.620
H 2.491 -0.913 4.303
H 2.491 2.597 -4.303
H 0.842 -0.736 9.226
H 2.668 4.246 0.620
H 1.019 0.913 14.149
H 1.019 4.423 5.543
H 0.842 2.774 10.466
F 1.755 1.755 -4.923
F 1.755 -1.755 4.923
F 3.510 0.000 0.000
F 1.838 1.252 -1.035
F 3.007 -0.083 3.888
F 1.671 -1.252 8.811
F 3.007 3.426 -3.888
F 0.000 0.000 9.846
F 0.502 0.083 13.733
F 1.838 4.762 1.035
F 0.502 3.593 5.958
F 1.671 2.257 10.881
```

Largest 10 diffraction maxima, sorted by position, 2θ from 10° to 90°:
2θ (°)	d [Å]	I_rel
18.02	4.923	100
18.51	4.794	40
26.97	3.306	34
31.59	2.832	26
36.20	2.482	41
37.52	2.397	55
40.72	2.216	34
53.35	1.717	25
59.65	1.550	12
65.97	1.416	12

=====

HoCu2S2: computed XRD peak list (Cu Kα X-rays), based on a structure optimized by DFT (GGA-PBE).
Intensities are scaled so that the largest is 100.

Structural model:
```
5
Lattice="3.949 0.000 0.000 -1.975 3.420 0.000 0.000 0.000 6.296" Properties=species:S:1:pos:R:3 pbc="T T T"
Ho 0.000 0.000 0.000
Cu 0.000 2.280 2.146
Cu 1.975 1.140 4.151
S 0.000 2.280 4.634
S 1.975 1.140 1.662
```

Largest 10 diffraction maxima, sorted by position, 2θ from 10° to 90°:
2θ (°)	d [Å]	I_rel
14.07	6.296	15
29.72	3.006	100
38.88	2.316	67
43.10	2.099	14
45.96	1.975	46
55.69	1.650	17
61.73	1.503	17
64.83	1.438	24
75.00	1.266	14
80.28	1.196	16

=====

NpPO4F: computed XRD peak list (Cu Kα X-rays), based on a structure optimized by DFT (GGA-PBE).
Intensities are scaled so that the largest is 100.

Structural model:
```
28
Lattice="8.671 0.000 0.000 0.000 6.998 0.000 0.000 0.000 6.417" Properties=species:S:1:pos:R:3 pbc="T T T"
Np 0.492 1.750 0.971
Np 3.844 5.249 4.179
Np 4.827 1.750 2.238
Np 8.180 5.249 5.446
P 0.863 5.249 2.060
P 3.473 1.750 5.269
P 5.199 5.249 1.148
P 7.808 1.750 4.357
O 0.109 1.750 3.169
O 0.581 4.028 1.118
O 0.581 6.469 1.118
O 2.019 1.750 5.746
O 2.317 5.249 2.537
O 3.754 0.529 4.326
O 3.754 2.970 4.326
O 4.227 5.249 6.378
O 4.445 1.750 0.039
O 4.917 4.028 2.091
O 4.917 6.469 2.091
O 6.354 1.750 3.880
O 6.653 5.249 0.671
O 8.090 0.529 5.299
O 8.090 2.970 5.299
O 8.562 5.249 3.248
F 1.785 5.249 5.184
F 2.550 1.750 1.975
F 6.121 5.249 4.442
F 6.886 1.750 1.233
```

Largest 10 diffraction maxima, sorted by position, 2θ from 10° to 90°:
2θ (°)	d [Å]	I_rel
17.19	5.158	66
18.76	4.730	94
20.48	4.336	62
24.78	3.593	57
25.46	3.499	90
27.92	3.196	45
32.39	2.764	100
43.58	2.077	28
44.09	2.054	47
49.44	1.844	42

=====

Tc2As3: computed XRD peak list (Cu Kα X-rays), based on a structure optimized by DFT (GGA-PBE).
Intensities are scaled so that the largest is 100.

Structural model:
```
20
Lattice="6.668 0.000 0.000 -1.673 6.487 0.000 -1.626 -1.247 7.801" Properties=species:S:1:pos:R:3 pbc="T T T"
Tc -0.995 1.908 2.845
Tc -0.652 -0.618 6.764
Tc 0.681 3.269 4.875
Tc 0.989 5.830 1.107
Tc 2.379 -0.590 6.694
Tc 2.687 1.971 2.926
Tc 4.020 5.858 1.037
Tc 4.363 3.332 4.956
As -2.448 3.378 7.518
As -0.829 1.390 5.301
As 0.857 0.165 2.707
As -0.801 5.293 4.794
As 0.833 3.689 2.450
As 2.517 1.948 0.388
As 0.852 3.292 7.413
As 2.535 1.551 5.351
As 4.169 -0.053 3.007
As 2.511 5.075 5.095
As 4.198 3.850 2.500
As 5.816 1.862 0.283
```

Largest 10 diffraction maxima, sorted by position, 2θ from 10° to 90°:
2θ (°)	d [Å]	I_rel
33.23	2.696	67
33.33	2.688	34
34.49	2.600	30
35.18	2.551	100
39.40	2.287	43
41.12	2.195	51
44.23	2.048	85
50.98	1.791	40
51.22	1.784	35
55.10	1.667	39

=====

TbSi2Au2: computed XRD peak list (Cu Kα X-rays), based on a structure optimized by DFT (GGA-PBE).
Intensities are scaled so that the largest is 100.

Structural model:
```
10
Lattice="4.267 0.000 0.000 0.000 4.267 0.000 0.000 0.000 10.311" Properties=species:S:1:pos:R:3 pbc="T T T"
Tb 0.000 0.000 0.000
Tb 2.134 2.134 5.155
Si 0.000 0.000 4.005
Si 0.000 0.000 6.306
Si 2.134 2.134 1.151
Si 2.134 2.134 9.160
Au 0.000 2.134 2.578
Au 0.000 2.134 7.733
Au 2.134 0.000 2.578
Au 2.134 0.000 7.733
```

Largest 10 diffraction maxima, sorted by position, 2θ from 10° to 90°:
2θ (°)	d [Å]	I_rel
17.20	5.155	21
22.55	3.943	11
33.48	2.677	12
34.44	2.604	100
34.80	2.578	19
42.36	2.134	33
46.32	1.960	12
55.94	1.644	20
62.16	1.493	16
72.39	1.305	24

=====

NaPuO3: computed XRD peak list (Cu Kα X-rays), based on a structure optimized by DFT (GGA-PBE).
Intensities are scaled so that the largest is 100.

Structural model:
```
5
Lattice="4.238 0.000 0.000 0.000 4.238 0.000 0.000 0.000 4.238" Properties=species:S:1:pos:R:3 pbc="T T T"
Na 0.000 0.000 0.000
Pu 2.119 2.119 2.119
O 0.000 2.119 2.119
O 2.119 0.000 2.119
O 2.119 2.119 0.000
```

Largest 10 diffraction maxima, sorted by position, 2θ from 10° to 90°:
2θ (°)	d [Å]	I_rel
20.96	4.238	100
29.81	2.997	96
36.73	2.447	16
42.67	2.119	30
48.00	1.895	47
52.92	1.730	41
61.92	1.498	19
66.14	1.413	23
70.23	1.340	18
85.78	1.133	22